Starting from a structure optimized by DFT (GGA-PBE), the powder XRD pattern of Ba2PIO4 was simulated for Cu Kα (λ = 1.5418 Å).

Principal peaks in the range 2θ from 15° to 90°, low angle first:
23.2 deg, 3.834 Å, intensity 60
25.1 deg, 3.554 Å, intensity 37
25.6 deg, 3.486 Å, intensity 100
26.8 deg, 3.328 Å, intensity 27
27.7 deg, 3.221 Å, intensity 39
28.5 deg, 3.128 Å, intensity 43
30.3 deg, 2.946 Å, intensity 22
31.3 deg, 2.856 Å, intensity 26
34.6 deg, 2.593 Å, intensity 31
40.1 deg, 2.250 Å, intensity 44

Cell and atoms:
Cell: 9.529 9.414 9.024 Å, 90.00 111.94 90.00°
Element x y z (fractional)
1 Ba 0.160 0.192 0.042
2 Ba 0.160 0.308 0.542
3 Ba 0.250 0.670 0.953
4 Ba 0.250 0.830 0.453
5 Ba 0.750 0.170 0.547
6 Ba 0.750 0.330 0.047
7 Ba 0.840 0.692 0.458
8 Ba 0.840 0.808 0.958
9 P 0.040 0.558 0.239
10 P 0.040 0.942 0.739
11 P 0.960 0.058 0.261
12 P 0.960 0.442 0.761
13 I 0.497 0.077 0.757
14 I 0.497 0.423 0.257
15 I 0.503 0.577 0.743
16 I 0.503 0.923 0.243
17 O 0.069 0.099 0.706
18 O 0.069 0.401 0.206
19 O 0.097 0.583 0.423
20 O 0.097 0.917 0.923
21 O 0.121 0.668 0.170
22 O 0.121 0.832 0.670
23 O 0.135 0.085 0.334
24 O 0.135 0.415 0.834
25 O 0.865 0.585 0.166
26 O 0.865 0.915 0.666
27 O 0.879 0.168 0.330
28 O 0.879 0.332 0.830
29 O 0.903 0.083 0.077
30 O 0.903 0.417 0.577
31 O 0.931 0.599 0.794
32 O 0.931 0.901 0.294

***

Starting from a structure optimized by DFT (GGA-PBE), the powder XRD pattern of PuNi3 was simulated for Cu Kα (λ = 1.5418 Å).

Principal peaks in the range 2θ from 15° to 90°, low angle first:
20.9 deg, 4.251 Å, intensity 32
32.8 deg, 2.734 Å, intensity 67
35.7 deg, 2.513 Å, intensity 40
36.1 deg, 2.491 Å, intensity 64
42.0 deg, 2.149 Å, intensity 43
42.4 deg, 2.132 Å, intensity 100
62.8 deg, 1.481 Å, intensity 22
64.6 deg, 1.442 Å, intensity 15
69.2 deg, 1.358 Å, intensity 23
76.5 deg, 1.246 Å, intensity 20

Cell and atoms:
Cell: 8.731 8.731 8.731 Å, 33.15 33.15 33.15°
Element x y z (fractional)
1 Pu 0.000 0.000 0.000
2 Pu 0.143 0.143 0.143
3 Pu 0.857 0.857 0.857
4 Ni 0.082 0.582 0.582
5 Ni 0.333 0.333 0.333
6 Ni 0.418 0.418 0.918
7 Ni 0.418 0.918 0.418
8 Ni 0.500 0.500 0.500
9 Ni 0.582 0.082 0.582
10 Ni 0.582 0.582 0.082
11 Ni 0.667 0.667 0.667
12 Ni 0.918 0.418 0.418

***

- What is the formula in the first record?
  Ba2PIO4